Computed powder diffraction line list of Tb2In3Ga3 for Cu Kα (weighted mean of Kα1 and Kα2), from a DFT-relaxed cell (GGA-PBE, Alexandria).

Structure:
Cell lengths 4.376, 4.476, 9.182 Å; angles 90.00, 90.00, 90.00 degrees
Fractional positions:
1 Tb 0.000 0.000 0.242
2 Tb 0.000 0.000 0.758
3 In 0.000 0.500 0.000
4 In 0.000 0.500 0.500
5 In 0.500 0.000 0.500
6 Ga 0.500 0.000 0.000
7 Ga 0.500 0.500 0.242
8 Ga 0.500 0.500 0.758

The 10 most intense peaks (5 to 70 degrees two-theta), sorted by position:
two_theta  Rel. int.
20.29  5
34.69  100
39.25  17
40.30  17
41.26  16
57.51  11
58.25  11
59.04  11
68.22  13
69.66  13

=====

Computed powder diffraction line list of Tb7In2Ga2 for Cu Kα (weighted mean of Kα1 and Kα2), from a DFT-relaxed cell (GGA-PBE, Alexandria).

Structure:
Cell lengths 6.855, 6.855, 7.403 Å; angles 90.00, 90.00, 109.09 degrees
Fractional positions:
1 Tb 0.000 0.000 0.000
2 Tb 0.000 0.500 0.275
3 Tb 0.000 0.500 0.725
4 Tb 0.500 0.000 0.275
5 Tb 0.500 0.000 0.725
6 Tb 0.500 0.500 0.247
7 Tb 0.500 0.500 0.753
8 In 0.178 0.178 0.500
9 In 0.822 0.822 0.500
10 Ga 0.289 0.711 0.000
11 Ga 0.711 0.289 0.000

The 10 most intense peaks (5 to 70 degrees two-theta), sorted by position:
two_theta  Rel. int.
25.43  34
27.54  62
27.76  52
28.94  24
32.05  62
36.03  41
36.88  100
45.62  18
49.24  19
59.97  17

=====

Computed powder diffraction line list of InGa3Tc for Cu Kα (weighted mean of Kα1 and Kα2), from a DFT-relaxed cell (GGA-PBE, Alexandria).

Structure:
Cell lengths 4.889, 4.889, 4.889 Å; angles 90.00, 90.00, 90.00 degrees
Fractional positions:
1 In 0.000 0.000 0.000
2 Ga 0.000 0.500 0.500
3 Ga 0.500 0.000 0.500
4 Ga 0.500 0.500 0.000
5 Tc 0.500 0.500 0.500

The 10 most intense peaks (5 to 70 degrees two-theta), sorted by position:
two_theta  Rel. int.
18.15  11
25.77  56
31.70  58
36.77  100
41.30  5
45.45  23
52.98  68
59.82  10
63.07  23
66.22  23

=====

Computed powder diffraction line list of InGaTe2 for Cu Kα (weighted mean of Kα1 and Kα2), from a DFT-relaxed cell (GGA-PBE, Alexandria).

Structure:
Cell lengths 6.954, 6.954, 6.954 Å; angles 103.91, 103.91, 121.27 degrees
Fractional positions:
1 In 0.250 0.250 0.000
2 In 0.750 0.750 0.000
3 Ga 0.250 0.750 0.500
4 Ga 0.750 0.250 0.500
5 Te 0.171 0.671 0.843
6 Te 0.329 0.171 0.500
7 Te 0.671 0.829 0.500
8 Te 0.829 0.329 0.157

The 10 most intense peaks (5 to 70 degrees two-theta), sorted by position:
two_theta  Rel. int.
26.68  100
29.48  41
33.05  22
33.59  88
45.63  28
46.44  22
47.44  18
50.29  21
52.66  19
60.34  12

=====

Computed powder diffraction line list of In3Ga3Te for Cu Kα (weighted mean of Kα1 and Kα2), from a DFT-relaxed cell (GGA-PBE, Alexandria).

Structure:
Cell lengths 7.704, 7.704, 7.704 Å; angles 90.00, 90.00, 90.00 degrees
Fractional positions:
1 In 0.000 0.250 0.500
2 In 0.000 0.750 0.500
3 In 0.250 0.500 0.000
4 In 0.500 0.000 0.250
5 In 0.500 0.000 0.750
6 In 0.750 0.500 0.000
7 Ga 0.000 0.500 0.250
8 Ga 0.000 0.500 0.750
9 Ga 0.250 0.000 0.500
10 Ga 0.500 0.250 0.000
11 Ga 0.500 0.750 0.000
12 Ga 0.750 0.000 0.500
13 Te 0.000 0.000 0.000
14 Te 0.500 0.500 0.500

The 10 most intense peaks (5 to 70 degrees two-theta), sorted by position:
two_theta  Rel. int.
23.09  42
25.86  10
28.38  100
40.56  26
43.98  60
47.19  30
53.17  17
55.98  14
66.47  17
68.95  18

=====

Computed powder diffraction line list of In2GaTe4 for Cu Kα (weighted mean of Kα1 and Kα2), from a DFT-relaxed cell (GGA-PBE, Alexandria).

Structure:
Cell lengths 7.468, 7.468, 7.468 Å; angles 125.18, 125.18, 81.24 degrees
Fractional positions:
1 In 0.250 0.750 0.500
2 In 0.750 0.250 0.500
3 Ga 0.000 0.000 0.000
4 Te 0.139 0.649 0.000
5 Te 0.351 0.351 0.490
6 Te 0.649 0.139 0.000
7 Te 0.861 0.861 0.510

The 10 most intense peaks (5 to 70 degrees two-theta), sorted by position:
two_theta  Rel. int.
24.11  100
30.41  13
36.70  8
36.98  32
41.28  41
44.63  38
51.92  9
53.29  11
65.44  8
69.56  17

=====

Computed powder diffraction line list of Th4In3Ga for Cu Kα (weighted mean of Kα1 and Kα2), from a DFT-relaxed cell (GGA-PBE, Alexandria).

Structure:
Cell lengths 3.316, 5.845, 11.655 Å; angles 90.00, 90.00, 90.00 degrees
Fractional positions:
1 Th 0.000 0.000 0.000
2 Th 0.000 0.000 0.500
3 Th 0.000 0.500 0.235
4 Th 0.000 0.500 0.765
5 In 0.500 0.000 0.251
6 In 0.500 0.000 0.749
7 In 0.500 0.500 0.500
8 Ga 0.500 0.500 0.000

The 10 most intense peaks (5 to 70 degrees two-theta), sorted by position:
two_theta  Rel. int.
21.53  20
26.89  6
30.63  69
34.70  100
41.21  8
43.88  25
55.42  7
57.06  24
57.17  22
64.66  17

=====

Computed powder diffraction line list of Th2In5Ga for Cu Kα (weighted mean of Kα1 and Kα2), from a DFT-relaxed cell (GGA-PBE, Alexandria).

Structure:
Cell lengths 6.718, 13.409, 4.591 Å; angles 90.00, 90.00, 90.00 degrees
Fractional positions:
1 Th 0.229 0.119 0.000
2 Th 0.271 0.619 0.000
3 Th 0.729 0.381 0.000
4 Th 0.771 0.881 0.000
5 In 0.000 0.500 0.500
6 In 0.021 0.752 0.500
7 In 0.235 0.373 0.000
8 In 0.265 0.873 0.000
9 In 0.479 0.252 0.500
10 In 0.500 0.000 0.500
11 In 0.521 0.748 0.500
12 In 0.735 0.127 0.000
13 In 0.765 0.627 0.000
14 In 0.979 0.248 0.500
15 Ga 0.000 0.000 0.500
16 Ga 0.500 0.500 0.500

The 10 most intense peaks (5 to 70 degrees two-theta), sorted by position:
two_theta  Rel. int.
18.70  7
27.02  6
33.07  100
37.92  33
39.25  16
54.77  6
55.72  22
65.43  24
67.24  13
69.43  6

=====

Computed powder diffraction line list of Th4In5Ga2 for Cu Kα (weighted mean of Kα1 and Kα2), from a DFT-relaxed cell (GGA-PBE, Alexandria).

Structure:
Cell lengths 8.166, 3.515, 10.234 Å; angles 90.00, 94.63, 90.00 degrees
Fractional positions:
1 Th 0.166 0.000 0.371
2 Th 0.264 0.000 0.946
3 Th 0.736 0.000 0.054
4 Th 0.834 0.000 0.629
5 In 0.194 0.500 0.660
6 In 0.444 0.500 0.203
7 In 0.500 0.500 0.500
8 In 0.556 0.500 0.797
9 In 0.806 0.500 0.340
10 Ga 0.054 0.500 0.128
11 Ga 0.946 0.500 0.872

The 10 most intense peaks (5 to 70 degrees two-theta), sorted by position:
two_theta  Rel. int.
29.29  53
32.35  100
33.33  70
33.49  62
33.70  68
35.32  60
35.75  69
36.05  58
37.29  48
53.92  51

=====

Computed powder diffraction line list of TiInGa for Cu Kα (weighted mean of Kα1 and Kα2), from a DFT-relaxed cell (GGA-PBE, Alexandria).

Structure:
Cell lengths 2.980, 4.392, 9.276 Å; angles 90.00, 92.53, 90.00 degrees
Fractional positions:
1 Ti 0.053 0.250 0.399
2 Ti 0.947 0.750 0.601
3 In 0.498 0.250 0.117
4 In 0.502 0.750 0.883
5 Ga 0.484 0.250 0.662
6 Ga 0.516 0.750 0.338

The 10 most intense peaks (5 to 70 degrees two-theta), sorted by position:
two_theta  Rel. int.
22.40  19
27.99  100
30.02  47
35.53  49
38.87  44
40.85  98
41.10  54
42.16  88
51.73  21
57.85  26

=====

Computed powder diffraction line list of Ti6InGa3 for Cu Kα (weighted mean of Kα1 and Kα2), from a DFT-relaxed cell (GGA-PBE, Alexandria).

Structure:
Cell lengths 7.213, 7.213, 6.653 Å; angles 90.00, 90.00, 89.78 degrees
Fractional positions:
1 Ti 0.009 0.512 0.750
2 Ti 0.166 0.834 0.528
3 Ti 0.166 0.834 0.972
4 Ti 0.318 0.318 0.000
5 Ti 0.318 0.318 0.500
6 Ti 0.488 0.991 0.750
7 Ti 0.512 0.009 0.250
8 Ti 0.682 0.682 0.000
9 Ti 0.682 0.682 0.500
10 Ti 0.834 0.166 0.028
11 Ti 0.834 0.166 0.472
12 Ti 0.991 0.488 0.250
13 In 0.363 0.637 0.250
14 In 0.637 0.363 0.750
15 Ga 0.113 0.140 0.750
16 Ga 0.140 0.113 0.250
17 Ga 0.376 0.624 0.750
18 Ga 0.624 0.376 0.250
19 Ga 0.860 0.887 0.750
20 Ga 0.887 0.860 0.250

The 10 most intense peaks (5 to 70 degrees two-theta), sorted by position:
two_theta  Rel. int.
17.37  15
26.80  15
27.66  10
36.75  13
38.89  100
39.52  43
45.25  8
48.38  13
50.62  7
55.23  11

=====

Computed powder diffraction line list of Tl12In7Ga for Cu Kα (weighted mean of Kα1 and Kα2), from a DFT-relaxed cell (GGA-PBE, Alexandria).

Structure:
Cell lengths 8.612, 8.612, 8.612 Å; angles 102.06, 102.06, 102.06 degrees
Fractional positions:
1 Tl 0.002 0.262 0.739
2 Tl 0.162 0.418 0.165
3 Tl 0.165 0.162 0.418
4 Tl 0.261 0.998 0.738
5 Tl 0.262 0.739 0.002
6 Tl 0.418 0.165 0.162
7 Tl 0.582 0.835 0.838
8 Tl 0.738 0.261 0.998
9 Tl 0.739 0.002 0.262
10 Tl 0.835 0.838 0.582
11 Tl 0.838 0.582 0.835
12 Tl 0.998 0.738 0.261
13 In 0.000 0.000 0.000
14 In 0.185 0.583 0.585
15 In 0.415 0.815 0.417
16 In 0.417 0.415 0.815
17 In 0.583 0.585 0.185
18 In 0.585 0.185 0.583
19 In 0.815 0.417 0.415
20 Ga 0.500 0.500 0.500

The 10 most intense peaks (5 to 70 degrees two-theta), sorted by position:
two_theta  Rel. int.
31.85  100
31.96  50
32.40  39
33.09  61
34.73  42
49.03  11
53.84  14
54.84  19
57.96  15
58.25  24

=====

Question: Which formula does entry 9 have?
Answer: Th4In5Ga2